This entry pairs a crystal structure of ZnCrGe2O6 with its theoretical powder XRD pattern. Radiation: Cu Kα, 1.54184 Å. Structure: a GGA+U-relaxed structure.
Lines closer than 0.1° are merged.

Largest 8 diffraction maxima, most intense first, 2θ = 5–70°:
2theta, d [Å], I (rel.), index
34.72, 2.584, 100, 2 0 0
26.68, 3.342, 95, 1 0 2
28.23, 3.161, 80, 1 2 0
29.02, 3.077, 68, 0 1 2
31.52, 2.838, 57, 1 -1 2
29.75, 3.003, 55, 0 2 1
25.42, 3.504, 45, 1 1 -1
24.88, 3.579, 45, 1 -1 1

Atomic structure:
Unit cell a=5.5187 b=6.8886 c=7.2553 alpha=87.03 beta=74.11 gamma=76.44
Fractional coordinates of all 20 atoms:
Zn 0.2461 0.2421 0.2697
Zn 0.7539 0.7579 0.7303
Cr 0.2519 0.9040 0.6023
Cr 0.7481 0.0960 0.3977
Ge 0.2402 0.3899 0.7170
Ge 0.2688 0.7852 0.1101
Ge 0.7312 0.2148 0.8899
Ge 0.7598 0.6101 0.2830
O 0.0072 0.6796 0.0960
O 0.1193 0.6283 0.6362
O 0.1356 0.9735 0.2906
O 0.3524 0.1994 0.5330
O 0.4035 0.8578 0.8783
O 0.4947 0.5934 0.1941
O 0.5053 0.4066 0.8059
O 0.5965 0.1422 0.1217
O 0.6476 0.8006 0.4670
O 0.8644 0.0265 0.7094
O 0.8807 0.3717 0.3638
O 0.9928 0.3204 0.9040